This entry pairs a crystal structure of YSc5Sb4 with its computed PXRD pattern. Radiation: Cu Kα, 1.54184 Å. Structure: a crystal structure in Alexandria, relaxed with GGA-PBE.
Lines closer than 0.1° are merged.

Main lines, low angle first (10 to 90 degrees two-theta):
d 3.732, 23.8°, intensity 547
d 3.687, 24.1°, intensity 1000
d 3.129, 28.5°, intensity 459
d 2.739, 32.7°, intensity 351
d 2.141, 42.2°, intensity 782
d 2.101, 43.1°, intensity 298

Crystal structure
Unit cell a=6.9375 b=6.9375 c=5.6703 alpha=90.00 beta=90.00 gamma=91.23
Fractional coordinates of all 10 atoms:
Y: 0.0000 0.0000 0.0000
Sc: 0.0000 0.5000 0.2501
Sc: 0.0000 0.5000 0.7499
Sc: 0.5000 0.0000 0.2501
Sc: 0.5000 0.0000 0.7499
Sc: 0.5000 0.5000 0.5000
Sb: 0.1860 0.1860 0.5000
Sb: 0.3277 0.6723 0.0000
Sb: 0.6723 0.3277 0.0000
Sb: 0.8140 0.8140 0.5000